Diffraction record for Li4VO3F2. The powder diffractogram is theoretical, not measured: it uses the GGA+U geometry in Alexandria and Cu Kα (λ = 1.5418 Å).
Neutral-atom scattering factors, no anomalous dispersion.

abc: 5.487 5.494 7.688
angles: 69.11 74.12 88.76
Fractional positions:
Li (0.000, 0.000, 0.000)
Li (0.064, 0.043, 0.598)
Li (0.187, 0.250, 0.205)
Li (0.271, 0.596, 0.822)
Li (0.401, 0.805, 0.390)
Li (0.472, 0.853, 0.001)
Li (0.787, 0.457, 0.803)
Li (0.919, 0.652, 0.392)
V (0.549, 0.179, 0.601)
V (0.695, 0.420, 0.179)
O (0.282, 0.965, 0.793)
O (0.429, 0.183, 0.380)
O (0.500, 0.482, 0.017)
O (0.707, 0.734, 0.189)
O (0.875, 0.286, 0.396)
O (0.966, 0.360, 0.017)
F (0.062, 0.687, 0.598)
F (0.199, 0.894, 0.201)
F (0.562, 0.558, 0.605)
F (0.765, 0.102, 0.799)

Largest 10 diffraction maxima, sorted by position, 10 to 90 degrees two-theta:
- 2θ = 16.86°, d 5.258, I 81
- 2θ = 17.39°, d 5.100, I 100
- 2θ = 18.08°, d 4.907, I 27
- 2θ = 22.73°, d 3.912, I 45
- 2θ = 23.21°, d 3.832, I 74
- 2θ = 25.87°, d 3.444, I 67
- 2θ = 32.61°, d 2.746, I 93
- 2θ = 33.31°, d 2.690, I 30
- 2θ = 44.39°, d 2.041, I 70
- 2θ = 49.23°, d 1.851, I 46